(1)
CrCo6Cu: computed X-ray powder pattern (copper Kα), based on a PBE-relaxed structure.
Intensities are scaled so that the largest is 100.

Atomic structure:
```
data_CrCo6Cu
_cell_length_a 7.076
_cell_length_b 10.000
_cell_length_c 10.000
_cell_angle_alpha 90.00
_cell_angle_beta 90.00
_cell_angle_gamma 90.00
_symmetry_space_group_name_H-M 'C m m m'
_symmetry_Int_Tables_number 65
_symmetry_space_group_name_Hall '-C 2 2'
loop_
_atom_site_label
_atom_site_type_symbol
_atom_site_fract_x
_atom_site_fract_y
_atom_site_fract_z
Cr1 Cr 0.000 0.000 0.249
Cr2 Cr 0.000 0.246 0.500
Co1 Co 0.000 0.000 0.000
Co2 Co 0.000 0.000 0.500
Co3 Co 0.000 0.249 0.252
Co4 Co 0.000 0.500 0.000
Co5 Co 0.000 0.500 0.500
Co6 Co 0.249 0.125 0.126
Co7 Co 0.249 0.126 0.377
Cu1 Cu 0.000 0.249 0.000
Cu2 Cu 0.000 0.500 0.250
```

Largest 3 diffraction maxima, low angle first, 15° ≤ 2θ ≤ 90°:
(2 4 0), 2.042 Å, intensity 100.0
(4 0 0), 1.768 Å, intensity 46.2
(4 4 4), 1.250 Å, intensity 26.2

(2)
Cr6Co2CuSe12: computed X-ray powder pattern (copper Kα), based on a PBE-relaxed structure.
Intensities are scaled so that the largest is 100.

Atomic structure:
```
data_Cr6Co2CuSe12
_cell_length_a 12.744
_cell_length_b 3.665
_cell_length_c 17.074
_cell_angle_alpha 90.00
_cell_angle_beta 102.39
_cell_angle_gamma 90.00
_symmetry_space_group_name_H-M 'C 1 2/m 1'
_symmetry_Int_Tables_number 12
loop_
_symmetry_equiv_pos_as_xyz
'x,y,z'
'-x,-y,-z'
'-x,y,-z'
'x,-y,z'
'x+1/2,y+1/2,z'
'-x+1/2,-y+1/2,-z'
'-x+1/2,y+1/2,-z'
'x+1/2,-y+1/2,z'
loop_
_atom_site_label
_atom_site_type_symbol
_atom_site_fract_x
_atom_site_fract_y
_atom_site_fract_z
Cr1 Cr 0.003 0.000 0.257
Cr2 Cr 0.167 0.500 0.407
Cr3 Cr 0.167 0.500 0.927
Co1 Co 0.167 0.000 0.166
Cu1 Cu 0.000 0.500 0.500
Se1 Se 0.031 0.500 0.154
Se2 Se 0.032 0.500 0.654
Se3 Se 0.135 0.000 0.018
Se4 Se 0.144 0.000 0.508
Se5 Se 0.195 0.000 0.825
Se6 Se 0.200 0.000 0.314
```

Largest 12 diffraction maxima, low angle first, 15° ≤ 2θ ≤ 90°:
(1 1 -4), 2.773 Å, intensity 100.0
(3 1 0), 2.747 Å, intensity 38.9
(4 0 2), 2.730 Å, intensity 40.4
(2 0 -8), 2.118 Å, intensity 17.3
(3 1 -6), 2.109 Å, intensity 35.7
(5 1 -2), 2.087 Å, intensity 40.0
(6 0 0), 2.074 Å, intensity 15.7
(0 2 0), 1.832 Å, intensity 26.9
(3 1 6), 1.828 Å, intensity 51.3
(4 2 2), 1.521 Å, intensity 12.9
(1 3 -4), 1.174 Å, intensity 12.8
(11 1 -2), 1.101 Å, intensity 14.0